No. 1
Starting from the PBE geometry in the Materials Project, the X-ray powder pattern of NiGeN2 was calculated for a wavelength of 1.5418 Å.
Peak positions follow from Bragg's law for the DFT cell and can differ from measured ones.

Peak list (6 most intense, 10 to 90 degrees two-theta, low angle first)
- (0 0 4), 2θ = 35.0°, d 2.566, I 29
- (1 0 1), 2θ = 36.6°, d 2.457, I 29
- (1 0 2), 2θ = 39.7°, d 2.269, I 100
- (1 0 3), 2θ = 44.5°, d 2.034, I 46
- (1 1 0), 2θ = 63.7°, d 1.461, I 29
- (1 1 4), 2θ = 74.8°, d 1.269, I 24

Cell and atoms:
Unit cell a=2.9217 b=2.9217 c=10.2629 alpha=90.00 beta=90.00 gamma=120.00
Space group P6_3/mmc (No. 194)
Symmetry-distinct sites (fractional):
1 Ni 0.0000 0.0000 0.0000
2 Ge 0.3333 0.6667 0.2500
3 N 0.3333 0.6667 0.6210

=====

No. 2
Starting from the PBE geometry in the Materials Project, the X-ray powder pattern of Ge11N11O5 was calculated for a wavelength of 1.5418 Å.
Peak positions follow from Bragg's law for the DFT cell and can differ from measured ones.

Peak list (6 most intense, 10 to 90 degrees two-theta, low angle first)
- (0 0 6), 2θ = 18.4°, d 4.820, I 26
- (1 0 10), 2θ = 35.7°, d 2.517, I 100
- (0 2 4), 2θ = 37.3°, d 2.410, I 22
- (2 0 8), 2θ = 43.4°, d 2.087, I 23
- (2 1 10), 2θ = 57.3°, d 1.607, I 37
- (2 2 0), 2θ = 63.0°, d 1.476, I 43

Cell and atoms:
Unit cell a=5.9062 b=5.9062 c=28.8932 alpha=90.00 beta=90.00 gamma=120.00
Space group R3m (No. 160, hexagonal axes)
Symmetry-distinct sites (fractional):
1 Ge 0.0000 0.0000 0.0000
2 Ge 0.0000 0.0000 0.1209
3 Ge 0.0000 0.0000 0.3094
4 Ge 0.0000 0.0000 0.4991
5 Ge 0.0000 0.0000 0.8105
6 Ge 0.0008 0.5004 0.0610
7 Ge 0.1722 0.3445 0.8915
8 N 0.0000 0.0000 0.1868
9 N 0.0000 0.0000 0.4315
10 N 0.0203 0.5102 0.4345
11 N 0.1781 0.3561 0.5224
12 N 0.1788 0.3576 0.0189
13 O 0.0000 0.0000 0.6953
14 O 0.0000 0.0000 0.9333
15 O 0.0440 0.5220 0.9314

=====

No. 3
Starting from the PBE geometry in the Materials Project, the X-ray powder pattern of Ge2N2O was calculated for a wavelength of 1.5418 Å.
Peak positions follow from Bragg's law for the DFT cell and can differ from measured ones.

Peak list (6 most intense, 10 to 90 degrees two-theta, low angle first)
- (4 0 -1), 2θ = 30.2°, d 2.961, I 53
- (2 0 -2), 2θ = 31.8°, d 2.812, I 48
- (0 0 2), 2θ = 31.9°, d 2.802, I 44
- (1 1 1), 2θ = 35.1°, d 2.556, I 100
- (3 1 -1), 2θ = 38.2°, d 2.358, I 75
- (5 1 2), 2θ = 64.5°, d 1.444, I 51

Cell and atoms:
Unit cell a=12.3827 b=3.0544 c=5.7741 alpha=90.00 beta=103.91 gamma=90.00
Space group C2/m (No. 12)
Symmetry-distinct sites (fractional):
1 Ge 0.0836 0.0000 0.2886
2 Ge 0.1571 0.5000 0.8351
3 N 0.0013 0.5000 0.2497
4 N 0.1759 0.0000 0.0717
5 O 0.1632 0.0000 0.6036

=====

No. 4
Starting from the PBE geometry in the Materials Project, the X-ray powder pattern of Ge2N2O was calculated for a wavelength of 1.5418 Å.
Peak positions follow from Bragg's law for the DFT cell and can differ from measured ones.

Peak list (6 most intense, 10 to 90 degrees two-theta, low angle first)
- (0 0 3), 2θ = 18.5°, d 4.789, I 40
- (1 1 3), 2θ = 35.9°, d 2.501, I 100
- (0 0 6), 2θ = 37.6°, d 2.395, I 24
- (0 2 4), 2θ = 43.6°, d 2.074, I 28
- (0 2 7), 2θ = 57.8°, d 1.596, I 37
- (2 2 0), 2θ = 63.4°, d 1.466, I 45

Cell and atoms:
Unit cell a=5.8631 b=5.8631 c=14.3793 alpha=90.00 beta=90.00 gamma=120.00
Space group P-3m1 (No. 164)
Symmetry-distinct sites (fractional):
1 Ge 0.0000 0.0000 0.0000
2 Ge 0.0000 0.0000 0.3708
3 Ge 0.0000 0.5000 0.5000
4 Ge 0.1685 0.3369 0.8351
5 Ge 0.3333 0.6667 0.0451
6 Ge 0.3333 0.6667 0.6694
7 N 0.0000 0.0000 0.2395
8 N 0.1561 0.3121 0.0874
9 N 0.1773 0.3546 0.5835
10 N 0.3333 0.6667 0.9128
11 O 0.0416 0.5208 0.7576
12 O 0.3333 0.6667 0.4356

=====

No. 5
Starting from the PBE geometry in the Materials Project, the X-ray powder pattern of Ge11N11O5 was calculated for a wavelength of 1.5418 Å.
Peak positions follow from Bragg's law for the DFT cell and can differ from measured ones.

Peak list (6 most intense, 10 to 90 degrees two-theta, low angle first)
- (2 0 0), 2θ = 18.4°, d 4.828, I 33
- (4 0 -2), 2θ = 35.6°, d 2.522, I 100
- (1 1 3), 2θ = 35.7°, d 2.515, I 55
- (2 2 -2), 2θ = 37.3°, d 2.414, I 27
- (2 2 2), 2θ = 43.3°, d 2.091, I 27
- (0 4 0), 2θ = 62.9°, d 1.479, I 49

Cell and atoms:
Unit cell a=10.2441 b=5.9166 c=10.1874 alpha=90.00 beta=109.31 gamma=90.00
Space group Cm (No. 8)
Symmetry-distinct sites (fractional):
1 Ge 0.0000 0.0000 0.0000
2 Ge 0.0004 0.5000 0.4984
3 Ge 0.0639 0.5000 0.1852
4 Ge 0.2474 0.2522 0.4965
5 Ge 0.2497 0.0000 0.2514
6 Ge 0.2522 0.5000 0.7427
7 Ge 0.2556 0.2460 0.0055
8 Ge 0.4267 0.0000 0.8061
9 Ge 0.4382 0.5000 0.3170
10 N 0.1275 0.5000 0.3827
11 N 0.1286 0.2357 0.1186
12 N 0.1362 0.0000 0.3807
13 N 0.3638 0.2711 0.8746
14 N 0.3657 0.0000 0.1219
15 N 0.3669 0.0000 0.6080
16 N 0.3704 0.5000 0.1135
17 N 0.3716 0.2344 0.3810
18 O 0.1322 0.2833 0.6157
19 O 0.1354 0.5000 0.8738
20 O 0.1356 0.0000 0.9032
21 O 0.3514 0.5000 0.6131